Record 1
Structure and theoretical powder diffraction line list of Cu3As2O8 (a crystal structure in the Materials Project, relaxed with GGA-PBE; Cu Kα).
Kinematic intensities with the Lorentz-polarization factor, no thermal factor.

Largest 10 diffraction maxima, in order of falling intensity, 10° ≤ 2θ ≤ 90°:
Position (°2θ)  I_rel  (hkl)
33.8  100.0  1 2 1
30.4  94.5  1 3 -1
35.0  53.1  1 0 -2
31.0  49.0  1 1 1
29.4  45.9  0 3 1
23.0  45.0  1 2 0
28.7  44.8  1 3 0
57.6  30.3  1 7 0
21.5  28.4  1 1 -1
47.1  21.9  2 4 0

Unit cell a=5.5115 b=11.7988 c=5.1583 alpha=90.00 beta=112.16 gamma=90.00
Space group P2_1/c (No. 14)
One atom of each set of equivalent atoms:
Cu: 0.0000 0.0000 0.0000 [2 per cell]
Cu: 0.3598 0.1635 0.7459 [4 per cell]
As: 0.2333 0.6142 0.1072 [4 per cell]
O: 0.0430 0.1848 0.4077 [4 per cell]
O: 0.2257 0.0123 0.7899 [4 per cell]
O: 0.2796 0.5818 0.8012 [4 per cell]
O: 0.4920 0.1870 0.1702 [4 per cell]


Record 2
Structure and theoretical powder diffraction line list of CsK2PdF5 (a crystal structure in the Materials Project, relaxed with GGA-PBE; Cu Kα).
Kinematic intensities with the Lorentz-polarization factor, no thermal factor.

Largest 10 diffraction maxima, in order of falling intensity, 10° ≤ 2θ ≤ 90°:
Position (°2θ)  I_rel  (hkl)
27.6  100.0  2 0 1
23.7  41.1  2 0 0
13.9  36.5  0 0 1
33.8  34.0  2 2 0
44.5  30.5  2 2 2
37.1  28.6  2 0 2
28.0  23.2  0 0 2
36.7  22.7  2 2 1
49.4  20.0  2 0 3
62.7  18.4  4 2 2

Unit cell a=7.4949 b=7.4949 c=6.3625 alpha=90.00 beta=90.00 gamma=90.00
Space group P4/mbm (No. 127)
One atom of each set of equivalent atoms:
Cs: 0.0000 0.0000 0.0000 [2 per cell]
K: 0.1782 0.3218 0.5000 [4 per cell]
Pd: 0.0000 0.5000 0.0000 [2 per cell]
F: 0.0000 0.0000 0.5000 [2 per cell]
F: 0.1307 0.6307 0.2251 [8 per cell]


Record 3
Structure and theoretical powder diffraction line list of MgTi3 (a crystal structure in the Materials Project, relaxed with GGA-PBE; Cu Kα).
Kinematic intensities with the Lorentz-polarization factor, no thermal factor.

Largest 10 diffraction maxima, in order of falling intensity, 10° ≤ 2θ ≤ 90°:
Position (°2θ)  I_rel  (hkl)
37.5  100.0  1 1 2
43.9  30.8  2 0 0
76.4  20.7  3 1 2
63.0  19.0  2 0 4
42.8  16.7  0 0 4
74.8  10.9  1 1 6
63.8  9.1  2 2 0
79.9  9.0  2 2 4
24.0  5.8  1 0 1
21.0  2.0  0 0 2

Unit cell a=4.1262 b=4.1262 c=8.4522 alpha=90.00 beta=90.00 gamma=90.00
Space group I4/mmm (No. 139)
One atom of each set of equivalent atoms:
Mg: 0.0000 0.0000 0.0000 [2 per cell]
Ti: 0.0000 0.0000 0.5000 [2 per cell]
Ti: 0.0000 0.5000 0.2500 [4 per cell]


Record 4
Structure and theoretical powder diffraction line list of NaSr3TaO6 (a crystal structure in the Materials Project, relaxed with GGA-PBE; Cu Kα).
Kinematic intensities with the Lorentz-polarization factor, no thermal factor.

Largest 10 diffraction maxima, in order of falling intensity, 10° ≤ 2θ ≤ 90°:
Position (°2θ)  I_rel  (hkl)
31.4  100.0  3 0 0
18.4  73.0  0 1 2
29.1  54.4  1 1 3
43.3  38.5  2 2 3
41.6  30.0  2 1 4
41.0  22.6  3 1 2
50.3  22.4  1 1 6
55.8  20.1  3 3 0
37.2  18.0  0 2 4
54.5  17.2  1 4 3

Unit cell a=9.8841 b=9.8841 c=11.7124 alpha=90.00 beta=90.00 gamma=120.00
Space group R-3c (No. 167, hexagonal axes)
One atom of each set of equivalent atoms:
Na: 0.0000 0.0000 0.2500 [6 per cell]
Sr: 0.0000 0.3494 0.2500 [18 per cell]
Ta: 0.0000 0.0000 0.0000 [6 per cell]
O: 0.0271 0.1797 0.4009 [36 per cell]